# 1
# Er3Ga2Os
Theoretical powder diffractogram, Cu Kα (weighted mean of Kα1 and Kα2). Input: a PBE-relaxed structure.

Largest 8 diffraction maxima, sorted by position, 2θ from 15° to 90°:
two_theta	I (rel.)
27.04	37
30.56	31
32.25	100
34.44	23
35.05	63
37.92	60
42.04	39
42.42	54

Atomic structure:
```
Er3Ga2Os
1.0
11.8319 0.0000 0.0000
0.0000 4.2616 0.0000
0.0000 0.0000 10.9749
Er Ga Os
12 8 4
direct
0.0518 0.2500 0.1195
0.1190 0.7500 0.5554
0.2339 0.2500 0.7942
0.2661 0.7500 0.2942
0.3810 0.2500 0.0554
0.4482 0.7500 0.6195
0.5518 0.2500 0.3805
0.6190 0.7500 0.9446
0.7339 0.2500 0.7058
0.7661 0.7500 0.2058
0.8810 0.2500 0.4446
0.9482 0.7500 0.8805
0.0071 0.7500 0.3035
0.1940 0.7500 0.9960
0.3060 0.2500 0.4960
0.4929 0.2500 0.8035
0.5071 0.7500 0.1965
0.6940 0.7500 0.5040
0.8060 0.2500 0.0040
0.9929 0.2500 0.6965
0.1192 0.2500 0.3707
0.3808 0.7500 0.8707
0.6192 0.2500 0.1293
0.8808 0.7500 0.6293
```

# 2
# ErGa2Pd
Theoretical powder diffractogram, Cu Kα (weighted mean of Kα1 and Kα2). Input: a PBE-relaxed structure.

Largest 8 diffraction maxima, sorted by position, 2θ from 15° to 90°:
two_theta	I (rel.)
26.92	19
35.06	100
36.23	97
38.14	35
41.02	44
43.50	29
44.80	17
57.25	21

Atomic structure:
```
ErGa2Pd
1.0
4.4001 0.0000 0.0000
0.0000 6.6231 0.0000
-2.1914 0.0000 5.0512
Er Ga Pd
2 4 2
direct
0.0878 0.2500 0.1748
0.9122 0.7500 0.8252
0.3725 0.0527 0.7447
0.3725 0.4473 0.7447
0.6275 0.5527 0.2553
0.6275 0.9473 0.2553
0.2008 0.7500 0.4024
0.7992 0.2500 0.5976
```

# 3
# ErGa6Pd12
Theoretical powder diffractogram, Cu Kα (weighted mean of Kα1 and Kα2). Input: a PBE-relaxed structure.

Largest 8 diffraction maxima, sorted by position, 2θ from 15° to 90°:
two_theta	I (rel.)
34.08	100
35.87	63
39.02	23
40.81	28
42.36	34
45.13	24
47.26	42
50.64	52

Atomic structure:
```
ErGa6Pd12
1.0
5.7706 3.3317 2.7787
-5.7706 3.3317 2.7787
0.0000 -6.6634 2.7787
Er Ga Pd
1 6 12
direct
0.0000 0.0000 0.0000
0.2701 0.2701 0.7044
0.2701 0.7044 0.2701
0.2956 0.7299 0.7299
0.7044 0.2701 0.2701
0.7299 0.2956 0.7299
0.7299 0.7299 0.2956
0.1208 0.5000 0.8792
0.1208 0.8792 0.5000
0.1540 0.3992 0.3992
0.3992 0.1540 0.3992
0.3992 0.3992 0.1540
0.5000 0.1208 0.8792
0.5000 0.8792 0.1208
0.6008 0.6008 0.8460
0.6008 0.8460 0.6008
0.8460 0.6008 0.6008
0.8792 0.1208 0.5000
0.8792 0.5000 0.1208
```

# 4
# Er6Ga2Pd
Theoretical powder diffractogram, Cu Kα (weighted mean of Kα1 and Kα2). Input: a PBE-relaxed structure.

Largest 8 diffraction maxima, sorted by position, 2θ from 15° to 90°:
two_theta	I (rel.)
28.49	22
29.62	23
32.00	100
34.15	47
34.84	48
35.09	56
37.40	39
59.18	31

Atomic structure:
```
Er6Ga2Pd
1.0
-4.7527 4.8095 4.9783
4.7527 -4.8095 4.9783
4.7527 4.8095 -4.9783
Er Ga Pd
12 4 2
direct
0.0352 0.8269 0.2083
0.2571 0.5649 0.3078
0.2571 0.9493 0.6922
0.2623 0.3246 0.5868
0.2623 0.6754 0.9377
0.3814 0.1731 0.2083
0.6186 0.8269 0.7917
0.7377 0.3246 0.0623
0.7377 0.6754 0.4132
0.7429 0.0507 0.3078
0.7429 0.4351 0.6922
0.9648 0.1731 0.7917
0.0000 0.1438 0.1438
0.0000 0.8562 0.8562
0.3757 0.3757 0.0000
0.6243 0.6243 0.0000
0.0000 0.5000 0.5000
0.5000 0.0000 0.5000
```

# 5
# Er4Ga16Pd3
Theoretical powder diffractogram, Cu Kα (weighted mean of Kα1 and Kα2). Input: a PBE-relaxed structure.

Largest 8 diffraction maxima, sorted by position, 2θ from 15° to 90°:
two_theta	I (rel.)
20.22	21
31.77	40
33.12	27
37.95	100
41.11	72
59.43	21
59.54	22
72.81	24

Atomic structure:
```
Er4Ga16Pd3
1.0
6.2109 0.0000 0.0000
0.0000 6.2109 0.0000
0.0000 0.0000 11.0138
Er Ga Pd
4 16 3
direct
0.0000 0.5000 0.1898
0.0000 0.5000 0.8102
0.5000 0.0000 0.1898
0.5000 0.0000 0.8102
0.0000 0.0000 0.2008
0.0000 0.0000 0.7992
0.2107 0.2107 0.0000
0.2107 0.7893 0.0000
0.2441 0.2441 0.3743
0.2441 0.2441 0.6257
0.2441 0.7559 0.3743
0.2441 0.7559 0.6257
0.5000 0.5000 0.2317
0.5000 0.5000 0.7683
0.7559 0.2441 0.3743
0.7559 0.2441 0.6257
0.7559 0.7559 0.3743
0.7559 0.7559 0.6257
0.7893 0.2107 0.0000
0.7893 0.7893 0.0000
0.0000 0.5000 0.5000
0.5000 0.0000 0.5000
0.5000 0.5000 0.0000
```

# 6
# Er2GaPd
Theoretical powder diffractogram, Cu Kα (weighted mean of Kα1 and Kα2). Input: a PBE-relaxed structure.

Largest 8 diffraction maxima, sorted by position, 2θ from 15° to 90°:
two_theta	I (rel.)
26.09	35
31.47	59
32.90	100
33.66	43
38.51	58
39.44	34
40.53	49
55.78	35

Atomic structure:
```
Er2GaPd
1.0
5.8855 0.0000 0.0000
0.0000 4.4519 0.0000
-2.6471 0.0000 6.8799
Er Ga Pd
4 2 2
direct
0.1746 0.2500 0.4105
0.2790 0.7500 0.0752
0.7210 0.2500 0.9248
0.8254 0.7500 0.5895
0.3827 0.7500 0.6982
0.6173 0.2500 0.3018
0.1580 0.2500 0.7965
0.8420 0.7500 0.2035
```

Repeat the second record exactly.
# ErGa2Pd
Theoretical powder diffractogram, Cu Kα (weighted mean of Kα1 and Kα2). Input: a PBE-relaxed structure.

Largest 8 diffraction maxima, sorted by position, 2θ from 15° to 90°:
two_theta	I (rel.)
26.92	19
35.06	100
36.23	97
38.14	35
41.02	44
43.50	29
44.80	17
57.25	21

Atomic structure:
```
ErGa2Pd
1.0
4.4001 0.0000 0.0000
0.0000 6.6231 0.0000
-2.1914 0.0000 5.0512
Er Ga Pd
2 4 2
direct
0.0878 0.2500 0.1748
0.9122 0.7500 0.8252
0.3725 0.0527 0.7447
0.3725 0.4473 0.7447
0.6275 0.5527 0.2553
0.6275 0.9473 0.2553
0.2008 0.7500 0.4024
0.7992 0.2500 0.5976
```

Question: Which formula does entry 6 have?
Answer: Er2GaPd

Repeat the first record exactly.
# Er3Ga2Os
Theoretical powder diffractogram, Cu Kα (weighted mean of Kα1 and Kα2). Input: a PBE-relaxed structure.

Largest 8 diffraction maxima, sorted by position, 2θ from 15° to 90°:
two_theta	I (rel.)
27.04	37
30.56	31
32.25	100
34.44	23
35.05	63
37.92	60
42.04	39
42.42	54

Atomic structure:
```
Er3Ga2Os
1.0
11.8319 0.0000 0.0000
0.0000 4.2616 0.0000
0.0000 0.0000 10.9749
Er Ga Os
12 8 4
direct
0.0518 0.2500 0.1195
0.1190 0.7500 0.5554
0.2339 0.2500 0.7942
0.2661 0.7500 0.2942
0.3810 0.2500 0.0554
0.4482 0.7500 0.6195
0.5518 0.2500 0.3805
0.6190 0.7500 0.9446
0.7339 0.2500 0.7058
0.7661 0.7500 0.2058
0.8810 0.2500 0.4446
0.9482 0.7500 0.8805
0.0071 0.7500 0.3035
0.1940 0.7500 0.9960
0.3060 0.2500 0.4960
0.4929 0.2500 0.8035
0.5071 0.7500 0.1965
0.6940 0.7500 0.5040
0.8060 0.2500 0.0040
0.9929 0.2500 0.6965
0.1192 0.2500 0.3707
0.3808 0.7500 0.8707
0.6192 0.2500 0.1293
0.8808 0.7500 0.6293
```